Entry 1:
NdErSi3: computed powder diffraction line list (Cu Kα, 1.54184 Å), based on a crystal structure in Alexandria, relaxed with PBE.
No peak broadening, texture or thermal motion is included.

Structure:
```
data_NdErSi3
_space_group_name_H-M_alt 'C m c m'
_space_group_IT_number 63
_space_group_name_Hall '-C 2c 2'
_cell_length_a 4.235
_cell_length_b 24.617
_cell_length_c 3.957
_cell_angle_alpha 90.00
_cell_angle_beta 90.00
_cell_angle_gamma 90.00
loop_
_atom_site_label
_atom_site_type_symbol
_atom_site_fract_x
_atom_site_fract_y
_atom_site_fract_z
Nd1 Nd 0.000 0.071 0.250
Er1 Er 0.000 0.203 0.750
Si1 Si 0.000 0.320 0.750
Si2 Si 0.000 0.379 0.250
Si3 Si 0.000 0.475 0.250
```

The 6 most intense peaks (2θ from 5° to 70°), sorted by position:
hkl, d_spacing, 2theta, I/Imax
0 4 1, 3.328, 26.78, 61
0 8 0, 3.077, 29.02, 24
1 3 1, 2.727, 32.84, 100
1 7 0, 2.706, 33.11, 60
2 4 1, 1.787, 51.12, 26
1 7 2, 1.597, 57.72, 25

Entry 2:
CaRe2Rh: computed powder diffraction line list (Cu Kα, 1.54184 Å), based on a crystal structure in Alexandria, relaxed with PBE.
No peak broadening, texture or thermal motion is included.

Structure:
```
data_CaRe2Rh
_space_group_name_H-M_alt 'P 1 m 1'
_space_group_IT_number 6
_cell_length_a 2.870
_cell_length_b 3.790
_cell_length_c 6.688
_cell_angle_alpha 90.00
_cell_angle_beta 92.47
_cell_angle_gamma 90.00
loop_
_space_group_symop_operation_xyz
'x,y,z'
'x,-y,z'
loop_
_atom_site_label
_atom_site_type_symbol
_atom_site_fract_x
_atom_site_fract_y
_atom_site_fract_z
Ca1 Ca 0.000 0.000 0.000
Re1 Re 0.505 0.500 0.326
Re2 Re 0.889 0.000 0.503
Rh1 Rh 0.463 0.500 0.725
```

The 6 most intense peaks (2θ from 5° to 70°), sorted by position:
hkl, d_spacing, 2theta, I/Imax
0 0 1, 6.682, 13.25, 100
0 1 2, 2.506, 35.83, 63
1 1 0, 2.287, 39.40, 57
1 0 -2, 2.224, 40.57, 26
0 1 3, 1.920, 47.34, 21
0 2 0, 1.895, 48.00, 18

Entry 3:
SrCa2TlHg4: computed powder diffraction line list (Cu Kα, 1.54184 Å), based on a crystal structure in Alexandria, relaxed with PBE.
No peak broadening, texture or thermal motion is included.

Structure:
```
data_SrCa2TlHg4
_space_group_name_H-M_alt 'R -3 m'
_space_group_IT_number 166
_space_group_name_Hall '-R 3 2"'
_cell_length_a 5.3749
_cell_length_b 5.3749
_cell_length_c 27.3141
_cell_angle_alpha 90.00
_cell_angle_beta 90.00
_cell_angle_gamma 120.00
loop_
_atom_site_label
_atom_site_type_symbol
_atom_site_fract_x
_atom_site_fract_y
_atom_site_fract_z
Sr1 Sr 0.0000 0.0000 0.0000
Ca1 Ca 0.0000 0.0000 0.2412
Tl1 Tl 0.0000 0.0000 0.5000
Hg1 Hg 0.0000 0.0000 0.1216
Hg2 Hg 0.0000 0.0000 0.3744
```

The 6 most intense peaks (2θ from 5° to 70°), sorted by position:
hkl, d_spacing, 2theta, I/Imax
1 0 4, 3.846, 23.13, 31
0 1 8, 2.753, 32.52, 100
1 1 0, 2.687, 33.34, 96
2 0 8, 1.923, 47.27, 36
1 0 16, 1.603, 57.50, 20
1 2 8, 1.564, 59.07, 37

Entry 4:
La3NbGa5O14: computed powder diffraction line list (Cu Kα, 1.54184 Å), based on a crystal structure in Alexandria, relaxed with PBE.
No peak broadening, texture or thermal motion is included.

Structure:
```
data_La3NbGa5O14
_space_group_name_H-M_alt 'P 3 2 1'
_space_group_IT_number 150
_cell_length_a 8.3321
_cell_length_b 8.3321
_cell_length_c 5.2403
_cell_angle_alpha 90.00
_cell_angle_beta 90.00
_cell_angle_gamma 120.00
loop_
_space_group_symop_operation_xyz
'x,y,z'
'-y,x-y,z'
'-x+y,-x,z'
'y,x,-z'
'x-y,-y,-z'
'-x,-x+y,-z'
loop_
_atom_site_label
_atom_site_type_symbol
_atom_site_fract_x
_atom_site_fract_y
_atom_site_fract_z
La1 La 0.0000 0.5766 0.0000
Nb1 Nb 0.0000 0.0000 0.0000
Ga1 Ga 0.0000 0.2457 0.5000
Ga2 Ga 0.3333 0.6667 0.5315
O1 O 0.0786 0.8546 0.2428
O2 O 0.1435 0.4600 0.6994
O3 O 0.3333 0.6667 0.1832
```

The 6 most intense peaks (2θ from 5° to 70°), sorted by position:
hkl, d_spacing, 2theta, I/Imax
1 1 1, 3.261, 27.35, 80
0 2 1, 2.972, 30.07, 100
2 1 0, 2.727, 32.84, 26
1 2 2, 1.889, 48.16, 31
3 1 1, 1.870, 48.70, 22
0 2 3, 1.573, 58.69, 23